# 1
Computed powder diffraction line list
Compound: CsPbS2O8
Radiation: a wavelength of 1.5418 Å
Structure: a cell relaxed with PBE
Peak positions follow from Bragg's law for the DFT cell and can differ from measured ones.

Largest 10 diffraction maxima, in order of rising 2θ, 2θ = 15–90°:
2θ/deg  I/Imax
19.83  512
24.68  1000
31.32  589
37.34  202
38.72  277
40.28  163
40.71  448
49.51  162
51.89  205
62.19  132

Atomic structure:
a b c (Å): 7.7620 7.7620 7.7620
angles (deg): 43.18 43.18 43.18
Fractional coordinates of all 12 atoms:
Cs 0.0000 0.0000 0.0000
Pb 0.5000 0.5000 0.5000
S 0.2189 0.2189 0.2189
S 0.7811 0.7811 0.7811
O 0.0396 0.6132 0.6132
O 0.1497 0.1497 0.1497
O 0.3868 0.3868 0.9604
O 0.3868 0.9604 0.3868
O 0.6132 0.0396 0.6132
O 0.6132 0.6132 0.0396
O 0.8503 0.8503 0.8503
O 0.9604 0.3868 0.3868

# 2
Computed powder diffraction line list
Compound: Cs2SbPbO4
Radiation: a wavelength of 1.5418 Å
Structure: a cell relaxed with PBE
Peak positions follow from Bragg's law for the DFT cell and can differ from measured ones.

Largest 10 diffraction maxima, in order of rising 2θ, 2θ = 15–90°:
2θ/deg  I/Imax
25.99  281
27.45  306
27.75  1000
38.16  257
41.10  125
46.95  151
48.72  237
49.27  96
50.13  114
57.33  149

Atomic structure:
a b c (Å): 6.4983 8.7851 6.8559
angles (deg): 90.00 90.00 90.00
Fractional coordinates of all 16 atoms:
Cs 0.2500 0.0014 0.2417
Cs 0.2500 0.4986 0.2417
Cs 0.7500 0.5014 0.7583
Cs 0.7500 0.9986 0.7583
Sb 0.2500 0.7500 0.6936
Sb 0.7500 0.2500 0.3064
Pb 0.2500 0.2500 0.7068
Pb 0.7500 0.7500 0.2932
O 0.0142 0.7500 0.5089
O 0.2500 0.5253 0.7735
O 0.2500 0.9747 0.7735
O 0.4858 0.7500 0.5089
O 0.5142 0.2500 0.4911
O 0.7500 0.0253 0.2265
O 0.7500 0.4747 0.2265
O 0.9858 0.2500 0.4911

# 3
Computed powder diffraction line list
Compound: CsSrPbO3
Radiation: a wavelength of 1.5418 Å
Structure: a cell relaxed with PBE
Peak positions follow from Bragg's law for the DFT cell and can differ from measured ones.

Largest 10 diffraction maxima, in order of rising 2θ, 2θ = 15–90°:
2θ/deg  I/Imax
16.16  245
17.71  259
25.36  395
26.71  371
26.91  427
27.20  509
31.11  1000
38.41  201
38.56  211
52.61  281

Atomic structure:
a b c (Å): 6.5582 4.1576 10.0144
angles (deg): 90.00 90.22 90.00
Fractional coordinates of all 12 atoms:
Cs 0.2474 0.2500 0.1792
Cs 0.7526 0.7500 0.8208
Sr 0.2497 0.7500 0.5274
Sr 0.7503 0.2500 0.4726
Pb 0.2526 0.2500 0.7946
Pb 0.7474 0.7500 0.2054
O 0.0275 0.2500 0.6337
O 0.2515 0.7500 0.8731
O 0.4768 0.2500 0.6347
O 0.5232 0.7500 0.3653
O 0.7485 0.2500 0.1269
O 0.9725 0.7500 0.3663

# 4
Computed powder diffraction line list
Compound: CsTePb2O2
Radiation: a wavelength of 1.5418 Å
Structure: a cell relaxed with PBE
Peak positions follow from Bragg's law for the DFT cell and can differ from measured ones.

Largest 10 diffraction maxima, in order of rising 2θ, 2θ = 15–90°:
2θ/deg  I/Imax
15.02  262
22.62  410
24.23  469
26.01  608
28.33  619
29.64  227
30.01  1000
32.97  225
41.47  227
51.22  301

Atomic structure:
a b c (Å): 6.8518 6.2997 9.1673
angles (deg): 90.00 99.49 90.00
Fractional coordinates of all 12 atoms:
Cs 0.1955 0.2500 0.4381
Cs 0.8045 0.7500 0.5619
Te 0.3252 0.7500 0.1258
Te 0.6748 0.2500 0.8742
Pb 0.1431 0.2500 0.8771
Pb 0.3579 0.7500 0.7919
Pb 0.6421 0.2500 0.2081
Pb 0.8569 0.7500 0.1229
O 0.1426 0.5006 0.7147
O 0.1426 0.9994 0.7147
O 0.8574 0.0006 0.2853
O 0.8574 0.4994 0.2853

# 5
Computed powder diffraction line list
Compound: CsTe2Pb2O6
Radiation: a wavelength of 1.5418 Å
Structure: a cell relaxed with PBE
Peak positions follow from Bragg's law for the DFT cell and can differ from measured ones.

Largest 10 diffraction maxima, in order of rising 2θ, 2θ = 15–90°:
2θ/deg  I/Imax
21.63  462
24.61  486
24.89  1000
25.96  447
27.69  701
29.10  549
30.99  400
31.55  893
33.13  529
37.31  679

Atomic structure:
a b c (Å): 6.3260 7.1393 7.5073
angles (deg): 62.80 66.22 83.04
Fractional coordinates of all 11 atoms:
Cs 0.0000 0.0000 0.0000
Te 0.2555 0.4480 0.0274
Te 0.7445 0.5520 0.9726
Pb 0.2541 0.6655 0.4494
Pb 0.7459 0.3345 0.5506
O 0.1167 0.5318 0.2785
O 0.2073 0.1586 0.2043
O 0.3767 0.4285 0.7363
O 0.6233 0.5715 0.2637
O 0.7927 0.8414 0.7957
O 0.8833 0.4682 0.7215

What did the fourth record say?
Computed powder diffraction line list
Compound: CsTePb2O2
Radiation: a wavelength of 1.5418 Å
Structure: a cell relaxed with PBE
Peak positions follow from Bragg's law for the DFT cell and can differ from measured ones.

Largest 10 diffraction maxima, in order of rising 2θ, 2θ = 15–90°:
2θ/deg  I/Imax
15.02  262
22.62  410
24.23  469
26.01  608
28.33  619
29.64  227
30.01  1000
32.97  225
41.47  227
51.22  301

Atomic structure:
a b c (Å): 6.8518 6.2997 9.1673
angles (deg): 90.00 99.49 90.00
Fractional coordinates of all 12 atoms:
Cs 0.1955 0.2500 0.4381
Cs 0.8045 0.7500 0.5619
Te 0.3252 0.7500 0.1258
Te 0.6748 0.2500 0.8742
Pb 0.1431 0.2500 0.8771
Pb 0.3579 0.7500 0.7919
Pb 0.6421 0.2500 0.2081
Pb 0.8569 0.7500 0.1229
O 0.1426 0.5006 0.7147
O 0.1426 0.9994 0.7147
O 0.8574 0.0006 0.2853
O 0.8574 0.4994 0.2853